Theoretical powder diffractogram of Na4MgFeP3O12 for Cu Kα (weighted mean of Kα1 and Kα2), from a PBE+U-relaxed structure.
No peak broadening, texture or thermal motion is included.

Peak list (10 most intense, 2θ = 10–80°, low angle first)
| 2θ/deg | intensity | (hkl) |
| --- | --- | --- |
| 14.04 | 21 | 0 1 2 |
| 20.07 | 30 | 1 0 4 |
| 23.36 | 49 | 1 1 3 |
| 24.83 | 19 | 0 0 6 |
| 30.67 | 34 | 2 1 1 |
| 31.93 | 100 | 1 1 6 |
| 34.57 | 61 | 3 0 0 |
| 42.13 | 21 | 2 2 3 |
| 47.77 | 38 | 2 2 6 |
| 60.29 | 24 | 4 1 6 |

Cell and atoms:
Unit cell a=8.9884 b=8.9884 c=21.5123 alpha=90.00 beta=90.00 gamma=120.00
Space group R3c (No. 161, hexagonal axes)
Symmetry-distinct sites (fractional):
Na  0.0000  0.0000  0.0000 x6
Na  0.0326  0.3375  0.0824 x18
Mg  0.0000  0.0000  0.3539 x6
Fe  0.0000  0.0000  0.1506 x6
P  0.0036  0.2980  0.2530 x18
O  0.0141  0.1906  0.9173 x18
O  0.0207  0.2064  0.1937 x18
O  0.1370  0.4627  0.9781 x18
O  0.1690  0.4807  0.2524 x18